# YHoAsO
Simulated powder diffractogram, λ = 1.5418 Å (Cu Kα). Input: a structure optimized by DFT (PBE).
Neutral-atom scattering factors, no anomalous dispersion.

Atomic structure:
Lattice parameters (Å, degrees): 4.3353 4.3353 8.7265 90.00 90.00 90.00
Fractional positions:
Y: 0.2500 0.7500 0.0000
Y: 0.7500 0.2500 0.0000
Ho: 0.2500 0.2500 0.4032
Ho: 0.7500 0.7500 0.5968
As: 0.2500 0.2500 0.7925
As: 0.7500 0.7500 0.2075
O: 0.2500 0.7500 0.5000
O: 0.7500 0.2500 0.5000

Main lines, low angle first (2θ from 10° to 90°):
2θ (°)	I_rel
29.05	1000
30.92	652
35.80	175
37.22	508
41.67	497
51.41	163
51.59	330
57.09	294
60.39	162
69.10	181

***

# HoTe3AsPb
Simulated powder diffractogram, λ = 1.5418 Å (Cu Kα). Input: a structure optimized by DFT (PBE).
Neutral-atom scattering factors, no anomalous dispersion.

Atomic structure:
Lattice parameters (Å, degrees): 8.3956 8.3956 10.2279 90.00 90.00 149.23
Fractional positions:
Ho: 0.0000 0.0000 0.0000
Ho: 0.0000 0.0000 0.5000
Te: 0.1272 0.8728 0.7500
Te: 0.3679 0.6321 0.5408
Te: 0.3679 0.6321 0.9592
Te: 0.6321 0.3679 0.0408
Te: 0.6321 0.3679 0.4592
Te: 0.8728 0.1272 0.2500
As: 0.4703 0.5297 0.7500
As: 0.5297 0.4703 0.2500
Pb: 0.2385 0.7615 0.2500
Pb: 0.7615 0.2385 0.7500

Main lines, low angle first (2θ from 10° to 90°):
2θ (°)	I_rel
20.54	370
27.38	648
31.37	1000
35.09	314
35.38	193
38.62	219
40.50	290
44.78	158
52.02	241
54.64	177

***

# PrHoAs2Pt2
Simulated powder diffractogram, λ = 1.5418 Å (Cu Kα). Input: a structure optimized by DFT (PBE).
Neutral-atom scattering factors, no anomalous dispersion.

Atomic structure:
Lattice parameters (Å, degrees): 4.3277 4.3277 15.5980 90.00 90.00 120.00
Fractional positions:
Pr: 0.0000 0.0000 0.0000
Pr: 0.0000 0.0000 0.5000
Ho: 0.0000 0.0000 0.2500
Ho: 0.0000 0.0000 0.7500
As: 0.3333 0.6667 0.1204
As: 0.3333 0.6667 0.3796
As: 0.6667 0.3333 0.6204
As: 0.6667 0.3333 0.8796
Pt: 0.3333 0.6667 0.6434
Pt: 0.3333 0.6667 0.8566
Pt: 0.6667 0.3333 0.1434
Pt: 0.6667 0.3333 0.3566

Main lines, low angle first (2θ from 10° to 90°):
2θ (°)	I_rel
11.35	64
24.43	196
33.15	1000
37.51	140
41.74	618
46.58	100
54.31	247
64.31	228
70.76	224
76.21	106

***

# SmHoZr2As2
Simulated powder diffractogram, λ = 1.5418 Å (Cu Kα). Input: a structure optimized by DFT (PBE).
Neutral-atom scattering factors, no anomalous dispersion.

Atomic structure:
Lattice parameters (Å, degrees): 8.5181 8.5181 8.5181 152.05 152.05 39.94
Fractional positions:
Sm: 0.0000 0.0000 0.0000
Ho: 0.3551 0.3551 0.0000
Zr: 0.1793 0.6793 0.5000
Zr: 0.6793 0.1793 0.5000
As: 0.5480 0.5480 0.0000
As: 0.8099 0.8099 0.0000

Main lines, low angle first (2θ from 10° to 90°):
2θ (°)	I_rel
27.37	353
30.73	305
32.75	1000
33.58	396
35.52	558
38.24	749
44.01	616
56.48	353
57.79	273
64.00	200

***

# Tb2HoAs3
Simulated powder diffractogram, λ = 1.5418 Å (Cu Kα). Input: a structure optimized by DFT (PBE).
Neutral-atom scattering factors, no anomalous dispersion.

Atomic structure:
Lattice parameters (Å, degrees): 4.1219 4.1219 10.0871 90.00 90.00 120.00
Fractional positions:
Tb: 0.3333 0.6667 0.3326
Tb: 0.6667 0.3333 0.6674
Ho: 0.0000 0.0000 0.0000
As: 0.0000 0.0000 0.5000
As: 0.3333 0.6667 0.8353
As: 0.6667 0.3333 0.1647

Main lines, low angle first (2θ from 10° to 90°):
2θ (°)	I_rel
26.49	227
30.68	1000
43.95	746
52.05	112
54.55	263
63.90	122
70.43	46
72.55	335
80.80	252
86.85	36

***

# YHo2As3
Simulated powder diffractogram, λ = 1.5418 Å (Cu Kα). Input: a structure optimized by DFT (PBE).
Neutral-atom scattering factors, no anomalous dispersion.

Atomic structure:
Lattice parameters (Å, degrees): 4.1050 4.1050 10.0607 90.00 90.00 120.00
Fractional positions:
Y: 0.0000 0.0000 0.0000
Ho: 0.3333 0.6667 0.3335
Ho: 0.6667 0.3333 0.6665
As: 0.0000 0.0000 0.5000
As: 0.3333 0.6667 0.8323
As: 0.6667 0.3333 0.1677

Main lines, low angle first (2θ from 10° to 90°):
2θ (°)	I_rel
26.59	168
30.80	1000
44.11	737
52.25	80
54.76	259
64.16	121
70.72	34
72.85	329
81.15	248
87.24	26

***

# YHo3As4
Simulated powder diffractogram, λ = 1.5418 Å (Cu Kα). Input: a structure optimized by DFT (PBE).
Neutral-atom scattering factors, no anomalous dispersion.

Atomic structure:
Lattice parameters (Å, degrees): 7.1018 7.1018 4.1015 90.00 90.00 109.47
Fractional positions:
Y: 0.0000 0.0000 0.0000
Ho: 0.0000 0.5000 0.5000
Ho: 0.5000 0.0000 0.5000
Ho: 0.5000 0.5000 0.0000
As: 0.2513 0.2513 0.5000
As: 0.2506 0.7494 0.0000
As: 0.7494 0.2506 0.0000
As: 0.7487 0.7487 0.5000

Main lines, low angle first (2θ from 10° to 90°):
2θ (°)	I_rel
13.22	31
26.62	175
30.84	1000
44.17	742
52.32	85
54.84	260
64.25	121
70.82	35
72.96	332
81.27	250

***

# AsIrI6
Simulated powder diffractogram, λ = 1.5418 Å (Cu Kα). Input: a structure optimized by DFT (PBE).
Neutral-atom scattering factors, no anomalous dispersion.

Atomic structure:
Lattice parameters (Å, degrees): 7.5401 7.5401 7.5401 60.00 60.00 60.00
Fractional positions:
As: 0.0000 0.0000 0.0000
Ir: 0.2500 0.2500 0.2500
I: 0.0023 0.0023 0.4977
I: 0.0023 0.4977 0.0023
I: 0.0023 0.4977 0.4977
I: 0.4977 0.0023 0.0023
I: 0.4977 0.0023 0.4977
I: 0.4977 0.4977 0.0023

Main lines, low angle first (2θ from 10° to 90°):
2θ (°)	I_rel
14.39	452
16.63	712
27.75	256
29.01	786
33.62	1000
37.73	368
48.28	715
57.31	329
60.12	246
80.58	321

***

# La3NdAs2I2
Simulated powder diffractogram, λ = 1.5418 Å (Cu Kα). Input: a structure optimized by DFT (PBE).
Neutral-atom scattering factors, no anomalous dispersion.

Atomic structure:
Lattice parameters (Å, degrees): 4.3467 4.3467 15.6178 90.00 90.00 120.00
Fractional positions:
La: 0.0000 0.0000 0.0000
La: 0.0000 0.0000 0.3001
La: 0.3333 0.6667 0.5046
Nd: 0.3333 0.6667 0.8015
As: 0.6667 0.3333 0.4023
As: 0.6667 0.3333 0.8977
I: 0.0000 0.0000 0.6556
I: 0.3333 0.6667 0.1499

Main lines, low angle first (2θ from 10° to 90°):
2θ (°)	I_rel
23.63	116
26.28	115
29.28	1000
33.05	109
41.55	394
42.21	202
51.64	204
55.05	106
64.12	81
68.35	174

***

# LaNdAsI
Simulated powder diffractogram, λ = 1.5418 Å (Cu Kα). Input: a structure optimized by DFT (PBE).
Neutral-atom scattering factors, no anomalous dispersion.

Atomic structure:
Lattice parameters (Å, degrees): 4.3052 4.3052 15.6748 90.00 90.00 120.00
Fractional positions:
La: 0.3333 0.6667 0.1037
La: 0.6667 0.3333 0.8963
Nd: 0.3333 0.6667 0.4024
Nd: 0.6667 0.3333 0.5976
As: 0.0000 0.0000 0.0000
As: 0.0000 0.0000 0.5000
I: 0.3333 0.6667 0.7440
I: 0.6667 0.3333 0.2560

Main lines, low angle first (2θ from 10° to 90°):
2θ (°)	I_rel
23.87	117
26.47	111
29.43	1000
33.17	116
41.97	388
42.24	203
52.09	201
55.30	105
64.29	78
69.03	172

***

# Zn4AsI2N
Simulated powder diffractogram, λ = 1.5418 Å (Cu Kα). Input: a structure optimized by DFT (PBE).
Neutral-atom scattering factors, no anomalous dispersion.

Atomic structure:
Lattice parameters (Å, degrees): 6.8844 6.8844 6.8844 129.10 129.10 74.84
Fractional positions:
Zn: 0.1706 0.2533 0.6482
Zn: 0.4776 0.8294 0.0827
Zn: 0.6050 0.5224 0.3518
Zn: 0.7467 0.3950 0.9173
As: 0.7500 0.2500 0.5000
I: 0.0000 0.0000 0.0000
I: 0.2500 0.7500 0.5000
N: 0.5000 0.5000 0.0000

Main lines, low angle first (2θ from 10° to 90°):
2θ (°)	I_rel
26.83	1000
28.77	210
34.89	378
42.20	112
43.25	114
45.16	337
46.81	99
51.64	211
54.95	110
72.39	103

***

# AsOsI6
Simulated powder diffractogram, λ = 1.5418 Å (Cu Kα). Input: a structure optimized by DFT (PBE).
Neutral-atom scattering factors, no anomalous dispersion.

Atomic structure:
Lattice parameters (Å, degrees): 7.5807 7.5807 7.5807 60.00 60.00 60.00
Fractional positions:
As: 0.0000 0.0000 0.0000
Os: 0.2500 0.2500 0.2500
I: 0.0019 0.0019 0.4981
I: 0.0019 0.4981 0.0019
I: 0.0019 0.4981 0.4981
I: 0.4981 0.0019 0.0019
I: 0.4981 0.0019 0.4981
I: 0.4981 0.4981 0.0019

Main lines, low angle first (2θ from 10° to 90°):
2θ (°)	I_rel
14.31	437
16.54	704
27.60	252
28.85	796
33.43	1000
37.52	365
48.01	716
56.98	335
80.06	322
89.59	254

***

# AsPdI6
Simulated powder diffractogram, λ = 1.5418 Å (Cu Kα). Input: a structure optimized by DFT (PBE).
Neutral-atom scattering factors, no anomalous dispersion.

Atomic structure:
Lattice parameters (Å, degrees): 7.4960 7.4960 7.4960 60.00 60.00 60.00
Fractional positions:
As: 0.0000 0.0000 0.0000
Pd: 0.2500 0.2500 0.2500
I: 0.5018 0.5018 0.9982
I: 0.5018 0.9982 0.5018
I: 0.5018 0.9982 0.9982
I: 0.9982 0.5018 0.5018
I: 0.9982 0.5018 0.9982
I: 0.9982 0.9982 0.5018

Main lines, low angle first (2θ from 10° to 90°):
2θ (°)	I_rel
14.47	168
16.73	447
29.18	1000
33.82	856
37.96	224
48.58	607
57.68	426
60.51	208
78.69	174
81.15	271

***

# AsPtI6
Simulated powder diffractogram, λ = 1.5418 Å (Cu Kα). Input: a structure optimized by DFT (PBE).
Neutral-atom scattering factors, no anomalous dispersion.

Atomic structure:
Lattice parameters (Å, degrees): 7.5574 7.5574 7.5574 60.00 60.00 60.00
Fractional positions:
As: 0.0000 0.0000 0.0000
Pt: 0.2500 0.2500 0.2500
I: 0.0009 0.0009 0.4991
I: 0.0009 0.4991 0.0009
I: 0.0009 0.4991 0.4991
I: 0.4991 0.0009 0.0009
I: 0.4991 0.0009 0.4991
I: 0.4991 0.4991 0.0009

Main lines, low angle first (2θ from 10° to 90°):
2θ (°)	I_rel
14.35	434
16.59	716
27.68	265
28.94	776
33.54	1000
37.64	372
48.16	716
57.17	326
80.35	322
89.94	255

***

# LiInAsIr
Simulated powder diffractogram, λ = 1.5418 Å (Cu Kα). Input: a structure optimized by DFT (PBE).
Neutral-atom scattering factors, no anomalous dispersion.

Atomic structure:
Lattice parameters (Å, degrees): 4.5268 4.5268 4.5268 60.00 60.00 60.00
Fractional positions:
Li: 0.0000 0.0000 0.0000
In: 0.7500 0.7500 0.7500
As: 0.2500 0.2500 0.2500
Ir: 0.5000 0.5000 0.5000

Main lines, low angle first (2θ from 10° to 90°):
2θ (°)	I_rel
24.08	574
39.83	1000
47.08	293
57.59	169
63.32	122
72.31	342
77.47	92
85.88	111